The following is a computed X-ray diffraction stick pattern of RbLi3Bi2. It was derived from a crystal structure in Alexandria, relaxed with PBE, using Cu Kα, 1.54184 Å.
Kinematic intensities with the Lorentz-polarization factor, no thermal factor.

Structure:
```
data_RbLi3Bi2
_space_group_name_H-M_alt 'C 1 2/m 1'
_space_group_IT_number 12
_space_group_name_Hall '-C 2y'
_cell_length_a 17.814
_cell_length_b 5.004
_cell_length_c 8.565
_cell_angle_alpha 90.00
_cell_angle_beta 112.29
_cell_angle_gamma 90.00
loop_
_atom_site_label
_atom_site_type_symbol
_atom_site_fract_x
_atom_site_fract_y
_atom_site_fract_z
Rb1 Rb 0.163 0.000 0.090
Li1 Li 0.001 0.000 0.667
Li2 Li 0.093 0.500 0.653
Li3 Li 0.192 0.500 0.450
Bi1 Bi 0.025 0.500 0.189
Bi2 Bi 0.159 0.000 0.610
```

Peak list (10 most intense, 5° ≤ 2θ ≤ 70°, low angle first)
d [Å]  Rel. int.  index
4.403  30  4 0 -1
4.314  33  1 1 -1
3.700  100  3 1 0
3.624  19  4 0 -2
3.233  53  1 1 -2
3.136  36  2 0 2
2.747  23  6 0 0
2.502  23  0 2 0
1.985  24  5 1 2
1.956  19  2 2 2